Record 1
For PtS2Cl6, a GGA-PBE-relaxed structure gives the calculated X-ray powder pattern in this record (Cu Kα (weighted mean of Kα1 and Kα2)).
Neutral-atom scattering factors, no anomalous dispersion.

Crystal structure
```
PtS2Cl6
1.0
4.895 0.000 0.000
-0.361 6.940 0.000
-1.023 -2.102 8.067
Pt S Cl
1 2 6
direct
0.000 0.000 0.000
0.283 0.226 0.204
0.717 0.774 0.796
0.093 0.485 0.219
0.249 0.179 0.431
0.277 0.127 0.837
0.723 0.873 0.163
0.751 0.821 0.569
0.907 0.515 0.781
```

Top 12 peaks for 15° ≤ 2θ ≤ 90°, low angle first:
Position (°2θ), I (rel.)
18.3, 79
20.0, 89
21.7, 100
22.7, 45
24.0, 39
28.5, 81
30.5, 38
31.1, 69
31.6, 28
35.8, 60
36.4, 36
45.7, 31

---

Record 2
For YCu7O12, a GGA-PBE-relaxed structure gives the calculated X-ray powder pattern in this record (Cu Kα (weighted mean of Kα1 and Kα2)).
Neutral-atom scattering factors, no anomalous dispersion.

Crystal structure
```
YCu7O12
1.0
-3.657 3.657 3.657
3.657 -3.657 3.657
3.657 3.657 -3.657
Y Cu O
1 7 12
direct
0.000 0.000 0.000
0.000 0.000 0.500
0.000 0.500 0.000
0.000 0.500 0.500
0.500 0.000 0.000
0.500 0.000 0.500
0.500 0.500 0.000
0.500 0.500 0.500
0.137 0.306 0.831
0.169 0.475 0.306
0.169 0.863 0.694
0.306 0.169 0.475
0.306 0.831 0.137
0.475 0.306 0.169
0.525 0.694 0.831
0.694 0.169 0.863
0.694 0.831 0.525
0.831 0.137 0.306
0.831 0.525 0.694
0.863 0.694 0.169
```

Top 11 peaks for 15° ≤ 2θ ≤ 90°, low angle first:
Position (°2θ), I (rel.)
17.1, 1
34.7, 100
38.9, 5
42.8, 1
46.5, 4
49.9, 24
62.2, 47
73.2, 12
75.8, 1
81.0, 1
83.6, 16